(1)
Li5Sn5Rh: theoretical X-ray diffraction stick pattern (CuKα), based on DFT lattice parameters and positions (PBE).

Atomic structure:
```
data_Li5Sn5Rh
_chemical_formula_sum 'Li5 Sn5 Rh1'
_cell_length_a 9.1990
_cell_length_b 9.1990
_cell_length_c 5.9205
_cell_angle_alpha 108.68
_cell_angle_beta 108.68
_cell_angle_gamma 31.50
_symmetry_space_group_name_H-M 'P 1'
_symmetry_Int_Tables_number 1
loop_
_symmetry_equiv_pos_as_xyz
'x,y,z'
loop_
_atom_site_label
_atom_site_type_symbol
_atom_site_fract_x
_atom_site_fract_y
_atom_site_fract_z
Li1 Li 0.0000 0.0000 0.0000
Li2 Li 0.2964 0.2964 0.2968
Li3 Li 0.3023 0.3023 0.8028
Li4 Li 0.6977 0.6977 0.1972
Li5 Li 0.7036 0.7036 0.7032
Sn1 Sn 0.1438 0.1438 0.3947
Sn2 Sn 0.1439 0.1439 0.8923
Sn3 Sn 0.5000 0.5000 0.5000
Sn4 Sn 0.8561 0.8561 0.1077
Sn5 Sn 0.8562 0.8562 0.6053
Rh1 Rh 0.0000 0.0000 0.5000
```

Top 8 peaks for 5° ≤ 2θ ≤ 70°, sorted by position:
15.88°, rel. 71; 18.54°, rel. 80; 23.94°, rel. 100; 35.97°, rel. 52; 37.24°, rel. 78; 38.89°, rel. 61; 48.99°, rel. 46; 52.73°, rel. 58

***

(2)
LiYSn2Rh4: theoretical X-ray diffraction stick pattern (CuKα), based on DFT lattice parameters and positions (PBE).

Atomic structure:
```
data_LiYSn2Rh4
_chemical_formula_sum 'Li1 Y1 Sn2 Rh4'
_cell_length_a 7.9557
_cell_length_b 7.9557
_cell_length_c 7.9557
_cell_angle_alpha 33.15
_cell_angle_beta 33.15
_cell_angle_gamma 33.15
_symmetry_space_group_name_H-M 'P 1'
_symmetry_Int_Tables_number 1
loop_
_symmetry_equiv_pos_as_xyz
'x,y,z'
loop_
_atom_site_label
_atom_site_type_symbol
_atom_site_fract_x
_atom_site_fract_y
_atom_site_fract_z
Li1 Li 0.0000 0.0000 0.0000
Y1 Y 0.5000 0.5000 0.5000
Sn1 Sn 0.2551 0.2551 0.2551
Sn2 Sn 0.7449 0.7449 0.7449
Rh1 Rh 0.1188 0.1188 0.1188
Rh2 Rh 0.3736 0.3736 0.3736
Rh3 Rh 0.6264 0.6264 0.6264
Rh4 Rh 0.8812 0.8812 0.8812
```

Top 8 peaks for 5° ≤ 2θ ≤ 70°, sorted by position:
22.97°, rel. 5; 23.69°, rel. 7; 23.98°, rel. 11; 30.17°, rel. 9; 39.35°, rel. 98; 39.72°, rel. 100; 46.77°, rel. 7; 57.15°, rel. 33

***

(3)
SrLiRh: theoretical X-ray diffraction stick pattern (CuKα), based on DFT lattice parameters and positions (PBE).

Atomic structure:
```
data_SrLiRh
_chemical_formula_sum 'Sr4 Li4 Rh4'
_cell_length_a 6.1868
_cell_length_b 5.7942
_cell_length_c 8.2305
_cell_angle_alpha 90.00
_cell_angle_beta 112.25
_cell_angle_gamma 90.00
_symmetry_space_group_name_H-M 'P 1'
_symmetry_Int_Tables_number 1
loop_
_symmetry_equiv_pos_as_xyz
'x,y,z'
loop_
_atom_site_label
_atom_site_type_symbol
_atom_site_fract_x
_atom_site_fract_y
_atom_site_fract_z
Sr1 Sr 0.1831 0.1172 0.3696
Sr2 Sr 0.1831 0.3828 0.8696
Sr3 Sr 0.8169 0.6172 0.1304
Sr4 Sr 0.8169 0.8828 0.6304
Li1 Li 0.4076 0.6169 0.3004
Li2 Li 0.4076 0.8831 0.8004
Li3 Li 0.5924 0.1169 0.1996
Li4 Li 0.5924 0.3831 0.6996
Rh1 Rh 0.1997 0.6022 0.5251
Rh2 Rh 0.1997 0.8978 0.0251
Rh3 Rh 0.8003 0.1022 0.9749
Rh4 Rh 0.8003 0.3978 0.4749
```

Top 8 peaks for 5° ≤ 2θ ≤ 70°, sorted by position:
15.47°, rel. 53; 21.80°, rel. 44; 23.36°, rel. 40; 31.21°, rel. 82; 34.69°, rel. 100; 36.33°, rel. 72; 38.65°, rel. 47; 38.72°, rel. 39

***

(4)
Sr3LiRh2: theoretical X-ray diffraction stick pattern (CuKα), based on DFT lattice parameters and positions (PBE).

Atomic structure:
```
data_Sr3LiRh2
_chemical_formula_sum 'Sr12 Li4 Rh8'
_cell_length_a 6.2042
_cell_length_b 11.8346
_cell_length_c 9.8212
_cell_angle_alpha 90.00
_cell_angle_beta 107.74
_cell_angle_gamma 90.00
_symmetry_space_group_name_H-M 'P 1'
_symmetry_Int_Tables_number 1
loop_
_symmetry_equiv_pos_as_xyz
'x,y,z'
loop_
_atom_site_label
_atom_site_type_symbol
_atom_site_fract_x
_atom_site_fract_y
_atom_site_fract_z
Sr1 Sr 0.1689 0.2322 0.3370
Sr2 Sr 0.1689 0.2678 0.8370
Sr3 Sr 0.2275 0.5864 0.9767
Sr4 Sr 0.2275 0.9136 0.4767
Sr5 Sr 0.2938 0.5417 0.6042
Sr6 Sr 0.2938 0.9583 0.1042
Sr7 Sr 0.7062 0.0417 0.8958
Sr8 Sr 0.7062 0.4583 0.3958
Sr9 Sr 0.7725 0.0864 0.5233
Sr10 Sr 0.7725 0.4136 0.0233
Sr11 Sr 0.8311 0.7322 0.1630
Sr12 Sr 0.8311 0.7678 0.6630
Li1 Li 0.3980 0.6895 0.3235
Li2 Li 0.3980 0.8105 0.8235
Li3 Li 0.6020 0.1895 0.1765
Li4 Li 0.6020 0.3105 0.6765
Rh1 Rh 0.1588 0.5072 0.2768
Rh2 Rh 0.1588 0.9928 0.7768
Rh3 Rh 0.3521 0.1331 0.6406
Rh4 Rh 0.3521 0.3669 0.1406
Rh5 Rh 0.6479 0.6331 0.8594
Rh6 Rh 0.6479 0.8669 0.3594
Rh7 Rh 0.8412 0.0072 0.2232
Rh8 Rh 0.8412 0.4928 0.7232
```

Top 8 peaks for 5° ≤ 2θ ≤ 70°, sorted by position:
14.97°, rel. 78; 16.81°, rel. 62; 24.49°, rel. 62; 27.18°, rel. 84; 30.25°, rel. 77; 30.48°, rel. 85; 36.71°, rel. 100; 36.86°, rel. 85

***

(5)
SrLi10Rh3: theoretical X-ray diffraction stick pattern (CuKα), based on DFT lattice parameters and positions (PBE).

Atomic structure:
```
data_SrLi10Rh3
_chemical_formula_sum 'Sr2 Li20 Rh6'
_cell_length_a 9.1136
_cell_length_b 9.1136
_cell_length_c 9.1136
_cell_angle_alpha 60.00
_cell_angle_beta 60.00
_cell_angle_gamma 60.00
_symmetry_space_group_name_H-M 'P 1'
_symmetry_Int_Tables_number 1
loop_
_symmetry_equiv_pos_as_xyz
'x,y,z'
loop_
_atom_site_label
_atom_site_type_symbol
_atom_site_fract_x
_atom_site_fract_y
_atom_site_fract_z
Sr1 Sr 0.2500 0.2500 0.2500
Sr2 Sr 0.7500 0.7500 0.7500
Li1 Li 0.0000 0.0000 0.3272
Li2 Li 0.0000 0.0000 0.6728
Li3 Li 0.0000 0.3272 0.0000
Li4 Li 0.0000 0.3272 0.6728
Li5 Li 0.0000 0.6728 0.0000
Li6 Li 0.0000 0.6728 0.3272
Li7 Li 0.1870 0.6043 0.6043
Li8 Li 0.3272 0.0000 0.0000
Li9 Li 0.3272 0.0000 0.6728
Li10 Li 0.3272 0.6728 0.0000
Li11 Li 0.3957 0.3957 0.3957
Li12 Li 0.3957 0.3957 0.8130
Li13 Li 0.3957 0.8130 0.3957
Li14 Li 0.6043 0.1870 0.6043
Li15 Li 0.6043 0.6043 0.1870
Li16 Li 0.6043 0.6043 0.6043
Li17 Li 0.6728 0.0000 0.0000
Li18 Li 0.6728 0.0000 0.3272
Li19 Li 0.6728 0.3272 0.0000
Li20 Li 0.8130 0.3957 0.3957
Rh1 Rh 0.2692 0.2692 0.7308
Rh2 Rh 0.2692 0.7308 0.2692
Rh3 Rh 0.2692 0.7308 0.7308
Rh4 Rh 0.7308 0.2692 0.2692
Rh5 Rh 0.7308 0.2692 0.7308
Rh6 Rh 0.7308 0.7308 0.2692
```

Top 8 peaks for 5° ≤ 2θ ≤ 70°, sorted by position:
23.92°, rel. 100; 27.69°, rel. 48; 36.22°, rel. 7; 39.55°, rel. 39; 46.75°, rel. 46; 48.96°, rel. 12; 62.86°, rel. 15; 64.69°, rel. 13

***

(6)
Sr3LiRh: theoretical X-ray diffraction stick pattern (CuKα), based on DFT lattice parameters and positions (PBE).

Atomic structure:
```
data_Sr3LiRh
_chemical_formula_sum 'Sr6 Li2 Rh2'
_cell_length_a 9.5393
_cell_length_b 9.5393
_cell_length_c 9.6370
_cell_angle_alpha 94.24
_cell_angle_beta 94.24
_cell_angle_gamma 25.18
_symmetry_space_group_name_H-M 'P 1'
_symmetry_Int_Tables_number 1
loop_
_symmetry_equiv_pos_as_xyz
'x,y,z'
loop_
_atom_site_label
_atom_site_type_symbol
_atom_site_fract_x
_atom_site_fract_y
_atom_site_fract_z
Sr1 Sr 0.0485 0.0485 0.3349
Sr2 Sr 0.1825 0.1825 0.6345
Sr3 Sr 0.4087 0.4087 0.0849
Sr4 Sr 0.5913 0.5913 0.9151
Sr5 Sr 0.8175 0.8175 0.3655
Sr6 Sr 0.9515 0.9515 0.6651
Li1 Li 0.2199 0.2199 0.1035
Li2 Li 0.7801 0.7801 0.8965
Rh1 Rh 0.4373 0.4373 0.4042
Rh2 Rh 0.5627 0.5627 0.5958
```

Top 8 peaks for 5° ≤ 2θ ≤ 70°, sorted by position:
9.20°, rel. 91; 9.53°, rel. 100; 12.75°, rel. 55; 27.08°, rel. 78; 29.04°, rel. 35; 32.32°, rel. 35; 37.46°, rel. 34; 39.19°, rel. 37

***

(7)
Sr3LiRh: theoretical X-ray diffraction stick pattern (CuKα), based on DFT lattice parameters and positions (PBE).

Atomic structure:
```
data_Sr3LiRh
_chemical_formula_sum 'Sr3 Li1 Rh1'
_cell_length_a 7.0459
_cell_length_b 7.0459
_cell_length_c 7.5057
_cell_angle_alpha 122.08
_cell_angle_beta 122.08
_cell_angle_gamma 35.11
_symmetry_space_group_name_H-M 'P 1'
_symmetry_Int_Tables_number 1
loop_
_symmetry_equiv_pos_as_xyz
'x,y,z'
loop_
_atom_site_label
_atom_site_type_symbol
_atom_site_fract_x
_atom_site_fract_y
_atom_site_fract_z
Sr1 Sr 0.0000 0.0000 0.0000
Sr2 Sr 0.6322 0.6322 0.6327
Sr3 Sr 0.8159 0.8159 0.3981
Li1 Li 0.3162 0.3162 0.0289
Rh1 Rh 0.3165 0.3165 0.6885
```

Top 8 peaks for 5° ≤ 2θ ≤ 70°, sorted by position:
14.22°, rel. 67; 23.71°, rel. 26; 26.75°, rel. 35; 28.97°, rel. 100; 32.83°, rel. 46; 40.19°, rel. 25; 43.60°, rel. 20; 52.33°, rel. 19

***

(8)
Sr2LiZnRh2: theoretical X-ray diffraction stick pattern (CuKα), based on DFT lattice parameters and positions (PBE).

Atomic structure:
```
data_Sr2LiZnRh2
_chemical_formula_sum 'Sr4 Li2 Zn2 Rh4'
_cell_length_a 8.5515
_cell_length_b 8.5515
_cell_length_c 8.5515
_cell_angle_alpha 139.06
_cell_angle_beta 59.52
_cell_angle_gamma 138.76
_symmetry_space_group_name_H-M 'P 1'
_symmetry_Int_Tables_number 1
loop_
_symmetry_equiv_pos_as_xyz
'x,y,z'
loop_
_atom_site_label
_atom_site_type_symbol
_atom_site_fract_x
_atom_site_fract_y
_atom_site_fract_z
Sr1 Sr 0.1664 0.2493 0.4157
Sr2 Sr 0.3336 0.7493 0.0829
Sr3 Sr 0.6664 0.2507 0.9171
Sr4 Sr 0.8336 0.7507 0.5843
Li1 Li 0.2500 0.2500 0.0000
Li2 Li 0.7500 0.7500 0.0000
Zn1 Zn 0.2500 0.7500 0.5000
Zn2 Zn 0.7500 0.2500 0.5000
Rh1 Rh 0.1046 0.7380 0.8426
Rh2 Rh 0.3954 0.2380 0.6334
Rh3 Rh 0.6046 0.7620 0.3666
Rh4 Rh 0.8954 0.2620 0.1574
```

Top 8 peaks for 5° ≤ 2θ ≤ 70°, sorted by position:
23.97°, rel. 29; 29.66°, rel. 42; 29.88°, rel. 40; 32.04°, rel. 100; 38.49°, rel. 52; 38.66°, rel. 50; 42.60°, rel. 67; 53.92°, rel. 35

***

(9)
LiTbRh: theoretical X-ray diffraction stick pattern (CuKα), based on DFT lattice parameters and positions (PBE).

Atomic structure:
```
data_LiTbRh
_chemical_formula_sum 'Li1 Tb1 Rh1'
_cell_length_a 4.3306
_cell_length_b 4.3306
_cell_length_c 3.4821
_cell_angle_alpha 90.00
_cell_angle_beta 90.00
_cell_angle_gamma 120.00
_symmetry_space_group_name_H-M 'P 1'
_symmetry_Int_Tables_number 1
loop_
_symmetry_equiv_pos_as_xyz
'x,y,z'
loop_
_atom_site_label
_atom_site_type_symbol
_atom_site_fract_x
_atom_site_fract_y
_atom_site_fract_z
Li1 Li 0.0000 0.0000 0.0000
Tb1 Tb 0.6667 0.3333 0.4989
Rh1 Rh 0.3333 0.6667 0.9979
```

Top 8 peaks for 5° ≤ 2θ ≤ 70°, sorted by position:
23.72°, rel. 47; 35.17°, rel. 100; 41.71°, rel. 42; 48.55°, rel. 7; 52.56°, rel. 7; 55.67°, rel. 27; 58.44°, rel. 8; 69.25°, rel. 19

***

(10)
Li4ThRh12: theoretical X-ray diffraction stick pattern (CuKα), based on DFT lattice parameters and positions (PBE).

Atomic structure:
```
data_Li4ThRh12
_chemical_formula_sum 'Li4 Th1 Rh12'
_cell_length_a 5.1045
_cell_length_b 6.5079
_cell_length_c 8.5741
_cell_angle_alpha 108.61
_cell_angle_beta 104.70
_cell_angle_gamma 97.21
_symmetry_space_group_name_H-M 'P 1'
_symmetry_Int_Tables_number 1
loop_
_symmetry_equiv_pos_as_xyz
'x,y,z'
loop_
_atom_site_label
_atom_site_type_symbol
_atom_site_fract_x
_atom_site_fract_y
_atom_site_fract_z
Li1 Li 0.0000 0.0000 0.0000
Li2 Li 0.1650 0.6193 0.4370
Li3 Li 0.3711 0.9801 0.5240
Li4 Li 0.6051 0.5652 0.9733
Th1 Th 0.8743 0.2224 0.4817
Rh1 Rh 0.0344 0.5873 0.8470
Rh2 Rh 0.1619 0.4579 0.1084
Rh3 Rh 0.2318 0.2086 0.7931
Rh4 Rh 0.3018 0.2339 0.3080
Rh5 Rh 0.4181 0.8475 0.8030
Rh6 Rh 0.4590 0.8729 0.1538
Rh7 Rh 0.4879 0.4448 0.6419
Rh8 Rh 0.6425 0.6412 0.3500
Rh9 Rh 0.6510 0.2594 0.1230
Rh10 Rh 0.7468 0.2034 0.8252
Rh11 Rh 0.8444 0.8199 0.6651
Rh12 Rh 0.9920 0.8286 0.2283
```

Top 8 peaks for 5° ≤ 2θ ≤ 70°, sorted by position:
29.73°, rel. 53; 40.28°, rel. 100; 40.41°, rel. 57; 40.70°, rel. 72; 41.33°, rel. 87; 42.55°, rel. 76; 43.58°, rel. 77; 44.45°, rel. 55

***

(11)
Li8Tl6Rh: theoretical X-ray diffraction stick pattern (CuKα), based on DFT lattice parameters and positions (PBE).

Atomic structure:
```
data_Li8Tl6Rh
_chemical_formula_sum 'Li8 Tl6 Rh1'
_cell_length_a 7.4742
_cell_length_b 7.4742
_cell_length_c 7.4742
_cell_angle_alpha 61.68
_cell_angle_beta 61.68
_cell_angle_gamma 61.68
_symmetry_space_group_name_H-M 'P 1'
_symmetry_Int_Tables_number 1
loop_
_symmetry_equiv_pos_as_xyz
'x,y,z'
loop_
_atom_site_label
_atom_site_type_symbol
_atom_site_fract_x
_atom_site_fract_y
_atom_site_fract_z
Li1 Li 0.0866 0.0866 0.0866
Li2 Li 0.1725 0.6295 0.3250
Li3 Li 0.3250 0.1725 0.6295
Li4 Li 0.3705 0.6750 0.8275
Li5 Li 0.6295 0.3250 0.1725
Li6 Li 0.6750 0.8275 0.3705
Li7 Li 0.8275 0.3705 0.6750
Li8 Li 0.9134 0.9134 0.9134
Tl1 Tl 0.0483 0.5300 0.7629
Tl2 Tl 0.2371 0.9517 0.4700
Tl3 Tl 0.4700 0.2371 0.9517
Tl4 Tl 0.5300 0.7629 0.0483
Tl5 Tl 0.7629 0.0483 0.5300
Tl6 Tl 0.9517 0.4700 0.2371
Rh1 Rh 0.5000 0.5000 0.5000
```

Top 8 peaks for 5° ≤ 2θ ≤ 70°, sorted by position:
14.71°, rel. 80; 23.21°, rel. 17; 23.83°, rel. 21; 27.59°, rel. 100; 36.15°, rel. 63; 37.20°, rel. 31; 38.00°, rel. 60; 66.69°, rel. 21

***

(12)
Li5Tl6Rh: theoretical X-ray diffraction stick pattern (CuKα), based on DFT lattice parameters and positions (PBE).

Atomic structure:
```
data_Li5Tl6Rh
_chemical_formula_sum 'Li5 Tl6 Rh1'
_cell_length_a 4.9189
_cell_length_b 6.6970
_cell_length_c 7.7125
_cell_angle_alpha 90.00
_cell_angle_beta 108.40
_cell_angle_gamma 90.00
_symmetry_space_group_name_H-M 'P 1'
_symmetry_Int_Tables_number 1
loop_
_symmetry_equiv_pos_as_xyz
'x,y,z'
loop_
_atom_site_label
_atom_site_type_symbol
_atom_site_fract_x
_atom_site_fract_y
_atom_site_fract_z
Li1 Li 0.0000 0.0000 0.0000
Li2 Li 0.3248 0.0000 0.6498
Li3 Li 0.3409 0.5000 0.6803
Li4 Li 0.6591 0.5000 0.3197
Li5 Li 0.6752 0.0000 0.3502
Tl1 Tl 0.1648 0.2551 0.3311
Tl2 Tl 0.1648 0.7449 0.3311
Tl3 Tl 0.5000 0.2477 0.0000
Tl4 Tl 0.5000 0.7523 0.0000
Tl5 Tl 0.8352 0.2551 0.6689
Tl6 Tl 0.8352 0.7449 0.6689
Rh1 Rh 0.0000 0.5000 0.0000
```

Top 8 peaks for 5° ≤ 2θ ≤ 70°, sorted by position:
25.72°, rel. 84; 26.62°, rel. 38; 36.53°, rel. 27; 36.85°, rel. 26; 37.35°, rel. 100; 45.77°, rel. 18; 46.03°, rel. 18; 61.52°, rel. 16

***

(13)
Li3Tl4Rh2: theoretical X-ray diffraction stick pattern (CuKα), based on DFT lattice parameters and positions (PBE).

Atomic structure:
```
data_Li3Tl4Rh2
_chemical_formula_sum 'Li3 Tl4 Rh2'
_cell_length_a 4.6542
_cell_length_b 4.6542
_cell_length_c 8.9698
_cell_angle_alpha 90.05
_cell_angle_beta 90.05
_cell_angle_gamma 59.96
_symmetry_space_group_name_H-M 'P 1'
_symmetry_Int_Tables_number 1
loop_
_symmetry_equiv_pos_as_xyz
'x,y,z'
loop_
_atom_site_label
_atom_site_type_symbol
_atom_site_fract_x
_atom_site_fract_y
_atom_site_fract_z
Li1 Li 0.0000 0.0000 0.0000
Li2 Li 0.3334 0.3334 0.4505
Li3 Li 0.6666 0.6666 0.5495
Tl1 Tl 0.0004 0.0004 0.3301
Tl2 Tl 0.9996 0.9996 0.6699
Tl3 Tl 0.3335 0.3335 0.1133
Tl4 Tl 0.6665 0.6665 0.8867
Rh1 Rh 0.3330 0.3330 0.7817
Rh2 Rh 0.6670 0.6670 0.2183
```

Top 8 peaks for 5° ≤ 2θ ≤ 70°, sorted by position:
19.80°, rel. 18; 24.21°, rel. 73; 29.81°, rel. 31; 37.45°, rel. 100; 38.70°, rel. 90; 54.95°, rel. 33; 66.74°, rel. 18; 69.22°, rel. 34